Diffraction record for Na2NbAsO6. The X-ray powder pattern is computed, not measured: it uses DFT lattice parameters and positions (PBE) and a wavelength of 1.5418 Å.

Top 10 peaks for 2θ from 10° to 90°, sorted by position:
7.039 Å, rel. 100, hkl 2 0 0
4.326 Å, rel. 55, hkl 2 2 0
3.544 Å, rel. 47, hkl 1 3 0
3.517 Å, rel. 52, hkl 0 0 2
3.063 Å, rel. 32, hkl 1 1 2
3.011 Å, rel. 50, hkl 4 0 -2
2.964 Å, rel. 93, hkl 4 2 0
2.887 Å, rel. 53, hkl 3 3 0
2.605 Å, rel. 58, hkl 1 3 -2
1.641 Å, rel. 34, hkl 3 5 2

Cell and atoms:
Lattice parameters (Å, degrees): 14.838 10.987 7.429 90.00 108.43 90.00
Space group C2/c (No. 15)
One atom of each set of equivalent atoms:
Na1 0.000 0.005 0.250 x4
Na2 0.000 0.454 0.250 x4
Na3 0.141 0.211 0.060 x8
Nb1 0.211 0.498 0.616 x8
As1 0.129 0.188 0.547 x8
O1 0.017 0.144 0.528 x8
O2 0.100 0.420 0.062 x8
O3 0.134 0.343 0.504 x8
O4 0.160 0.116 0.369 x8
O5 0.203 0.156 0.776 x8
O6 0.238 0.449 0.875 x8